(1)
For LiMn2B2O6, a GGA+U-relaxed structure gives the calculated PXRD pattern in this record (Cu Kα X-rays).
Lines closer than 0.1° are merged.

The 12 most intense peaks (2θ = 10–90°), by angle:
d 4.430, 20.0°, rel. 100.0; d 4.284, 20.7°, rel. 23.2; d 4.081, 21.8°, rel. 48.1; d 3.899, 22.8°, rel. 66.0; d 2.649, 33.8°, rel. 19.0; d 2.639, 34.0°, rel. 32.9; d 2.625, 34.2°, rel. 19.5; d 2.579, 34.8°, rel. 65.2; d 2.418, 37.2°, rel. 33.5; d 2.286, 39.4°, rel. 19.1; d 2.218, 40.7°, rel. 30.6; d 1.719, 53.3°, rel. 19.6

Cell and atoms:
Cell lengths 5.309, 6.137, 15.536 Å; angles 80.94, 87.42, 86.99 degrees
Atoms (fractional coordinates):
Li1 0.000 0.000 0.000
Li2 0.003 0.997 0.501
Li3 0.190 0.726 0.299
Li4 0.504 0.500 0.750
Mn1 0.002 0.294 0.308
Mn2 0.005 0.295 0.810
Mn3 0.182 0.430 0.491
Mn4 0.187 0.431 0.991
Mn5 0.504 0.791 0.561
Mn6 0.504 0.792 0.060
Mn7 0.679 0.931 0.237
Mn8 0.685 0.934 0.741
B1 0.017 0.615 0.649
B2 0.020 0.634 0.147
B3 0.167 0.086 0.153
B4 0.171 0.093 0.654
B5 0.515 0.107 0.399
B6 0.517 0.117 0.899
B7 0.670 0.612 0.403
B8 0.674 0.594 0.904
O1 0.035 0.196 0.086
O2 0.039 0.192 0.585
O3 0.058 0.030 0.238
O4 0.061 0.062 0.739
O5 0.137 0.700 0.568
O6 0.140 0.703 0.065
O7 0.152 0.524 0.215
O8 0.162 0.503 0.714
O9 0.259 0.160 0.411
O10 0.259 0.160 0.910
O11 0.416 0.005 0.141
O12 0.416 0.998 0.644
O13 0.525 0.715 0.337
O14 0.541 0.694 0.836
O15 0.560 0.559 0.488
O16 0.566 0.558 0.990
O17 0.636 0.205 0.819
O18 0.642 0.168 0.318
O19 0.658 0.003 0.467
O20 0.661 0.002 0.963
O21 0.760 0.658 0.660
O22 0.768 0.703 0.156
O23 0.920 0.501 0.893
O24 0.926 0.546 0.388

=====

(2)
For Li5Mn6B6O18, a GGA+U-relaxed structure gives the calculated PXRD pattern in this record (Cu Kα X-rays).
Lines closer than 0.1° are merged.

The 12 most intense peaks (2θ = 10–90°), by angle:
d 4.171, 21.3°, rel. 85.3; d 4.110, 21.6°, rel. 88.4; d 4.100, 21.7°, rel. 94.8; d 2.902, 30.8°, rel. 37.9; d 2.526, 35.5°, rel. 59.6; d 2.512, 35.7°, rel. 100.0; d 2.506, 35.8°, rel. 33.0; d 2.392, 37.6°, rel. 26.2; d 2.358, 38.2°, rel. 32.0; d 1.913, 47.5°, rel. 30.9; d 1.724, 53.1°, rel. 24.7; d 1.587, 58.1°, rel. 27.6

Cell and atoms:
Cell lengths 6.347, 8.342, 8.785 Å; angles 118.19, 111.02, 90.01 degrees
Atoms (fractional coordinates):
Li1 0.000 0.000 0.000
Li2 0.137 0.696 0.267
Li3 0.297 0.273 0.590
Li4 0.489 0.007 0.999
Li5 0.785 0.275 0.588
Mn1 0.053 0.965 0.620
Mn2 0.209 0.626 0.923
Mn3 0.400 0.383 0.301
Mn4 0.569 0.970 0.632
Mn5 0.706 0.630 0.931
Mn6 0.892 0.358 0.294
B1 0.313 0.653 0.617
B2 0.385 0.003 0.288
B3 0.458 0.307 0.944
B4 0.802 0.656 0.624
B5 0.894 0.997 0.286
B6 0.979 0.316 0.951
O1 0.088 0.406 0.151
O2 0.268 0.759 0.532
O3 0.269 0.456 0.499
O4 0.329 0.814 0.203
O5 0.334 0.091 0.180
O6 0.398 0.728 0.810
O7 0.406 0.117 0.827
O8 0.430 0.426 0.873
O9 0.491 0.112 0.485
O10 0.549 0.379 0.140
O11 0.729 0.460 0.500
O12 0.771 0.767 0.546
O13 0.826 0.071 0.165
O14 0.873 0.810 0.215
O15 0.902 0.726 0.817
O16 0.921 0.126 0.844
O17 0.930 0.428 0.871
O18 0.988 0.120 0.482

=====

(3)
For LiMn2B2O6, a GGA+U-relaxed structure gives the calculated PXRD pattern in this record (Cu Kα X-rays).
Lines closer than 0.1° are merged.

The 12 most intense peaks (2θ = 10–90°), by angle:
d 4.438, 20.0°, rel. 100.0; d 4.300, 20.7°, rel. 22.5; d 4.062, 21.9°, rel. 47.5; d 3.898, 22.8°, rel. 65.1; d 2.646, 33.9°, rel. 51.3; d 2.638, 34.0°, rel. 18.7; d 2.559, 35.1°, rel. 62.8; d 2.415, 37.2°, rel. 23.0; d 2.287, 39.4°, rel. 18.6; d 2.212, 40.8°, rel. 26.2; d 1.712, 53.5°, rel. 19.4; d 1.481, 62.7°, rel. 17.5

Cell and atoms:
Cell lengths 5.301, 5.780, 22.214 Å; angles 89.11, 89.29, 65.85 degrees
Atoms (fractional coordinates):
Li1 0.000 0.000 0.000
Li2 0.049 0.289 0.625
Li3 0.247 0.889 0.225
Li4 0.596 0.802 0.801
Li5 0.794 0.403 0.399
Mn1 0.097 0.814 0.735
Mn2 0.149 0.070 0.487
Mn3 0.296 0.412 0.333
Mn4 0.346 0.672 0.089
Mn5 0.496 0.010 0.935
Mn6 0.546 0.282 0.692
Mn7 0.692 0.622 0.537
Mn8 0.744 0.880 0.292
Mn9 0.890 0.224 0.138
Mn10 0.950 0.469 0.889
B1 0.041 0.947 0.865
B2 0.192 0.949 0.356
B3 0.244 0.544 0.463
B4 0.396 0.547 0.958
B5 0.446 0.140 0.063
B6 0.597 0.148 0.562
B7 0.648 0.744 0.669
B8 0.797 0.748 0.162
B9 0.847 0.344 0.268
B10 0.993 0.350 0.756
O1 0.008 0.838 0.154
O2 0.016 0.032 0.404
O3 0.025 0.261 0.220
O4 0.030 0.460 0.471
O5 0.094 0.070 0.914
O6 0.160 0.793 0.311
O7 0.198 0.437 0.745
O8 0.214 0.891 0.816
O9 0.223 0.634 0.005
O10 0.224 0.070 0.071
O11 0.289 0.692 0.507
O12 0.370 0.373 0.918
O13 0.398 0.035 0.345
O14 0.414 0.479 0.414
O15 0.428 0.214 0.611
O16 0.443 0.659 0.680
O17 0.503 0.281 0.107
O18 0.551 0.000 0.518
O19 0.593 0.643 0.943
O20 0.620 0.066 0.014
O21 0.625 0.813 0.210
O22 0.641 0.260 0.279
O23 0.682 0.900 0.714
O24 0.761 0.594 0.118
O25 0.811 0.231 0.553
O26 0.817 0.433 0.803
O27 0.817 0.880 0.869
O28 0.823 0.660 0.621
O29 0.883 0.496 0.313
O30 0.963 0.193 0.711

=====

(4)
For Li2Mn3B3O9, a GGA+U-relaxed structure gives the calculated PXRD pattern in this record (Cu Kα X-rays).
Lines closer than 0.1° are merged.

The 12 most intense peaks (2θ = 10–90°), by angle:
d 4.145, 21.4°, rel. 100.0; d 4.130, 21.5°, rel. 50.7; d 2.531, 35.5°, rel. 33.6; d 2.526, 35.5°, rel. 16.7; d 2.510, 35.8°, rel. 32.0; d 2.498, 36.0°, rel. 16.9; d 2.393, 37.6°, rel. 28.4; d 2.384, 37.7°, rel. 15.5; d 1.919, 47.4°, rel. 12.9; d 1.912, 47.6°, rel. 11.5; d 1.742, 52.5°, rel. 11.5; d 1.586, 58.2°, rel. 13.4

Cell and atoms:
Cell lengths 8.303, 8.806, 9.514 Å; angles 110.29, 90.40, 117.84 degrees
Atoms (fractional coordinates):
Li1 0.000 0.000 0.000
Li2 0.003 0.987 0.338
Li3 0.419 0.676 0.891
Li4 0.428 0.674 0.563
Li5 0.732 0.411 0.477
Li6 0.744 0.414 0.148
Mn1 0.073 0.708 0.738
Mn2 0.088 0.701 0.068
Mn3 0.113 0.703 0.403
Mn4 0.341 0.298 0.611
Mn5 0.355 0.328 0.279
Mn6 0.381 0.345 0.954
Mn7 0.697 0.035 0.184
Mn8 0.714 0.060 0.855
Mn9 0.719 0.050 0.522
B1 0.045 0.358 0.128
B2 0.052 0.359 0.457
B3 0.061 0.365 0.787
B4 0.382 0.014 0.667
B5 0.384 0.031 0.013
B6 0.388 0.030 0.360
B7 0.701 0.681 0.735
B8 0.732 0.690 0.406
B9 0.733 0.707 0.075
O1 0.116 0.552 0.198
O2 0.128 0.556 0.851
O3 0.145 0.553 0.508
O4 0.161 0.273 0.443
O5 0.163 0.286 0.098
O6 0.190 0.890 0.614
O7 0.190 0.920 0.975
O8 0.194 0.307 0.769
O9 0.195 0.907 0.320
O10 0.444 0.205 0.731
O11 0.453 0.223 0.432
O12 0.467 0.225 0.085
O13 0.494 0.948 0.982
O14 0.504 0.947 0.653
O15 0.506 0.588 0.701
O16 0.509 0.965 0.332
O17 0.542 0.598 0.396
O18 0.544 0.629 0.033
O19 0.796 0.587 0.685
O20 0.799 0.872 0.821
O21 0.811 0.594 0.054
O22 0.824 0.586 0.369
O23 0.827 0.881 0.451
O24 0.849 0.901 0.140
O25 0.854 0.243 0.087
O26 0.863 0.255 0.420
O27 0.876 0.235 0.746